1.
Theoretical X-ray powder pattern of YH4Pd2Pt for Cu Kα X-rays, from a PBE-relaxed structure.

Cell and atoms:
```
YH4Pd2Pt
1.0
7.160 0.000 0.000
0.000 6.360 0.000
-3.576 0.000 3.699
Y H Pd Pt
2 8 4 2
Direct
0.000 0.000 0.000 Y
0.500 0.500 0.000 Y
0.192 0.703 0.977 H
0.207 0.304 0.399 H
0.293 0.804 0.601 H
0.308 0.203 0.023 H
0.692 0.203 0.977 H
0.707 0.804 0.399 H
0.793 0.304 0.601 H
0.808 0.703 0.023 H
0.000 0.250 0.500 Pd
0.000 0.501 0.000 Pd
0.500 0.001 0.000 Pd
0.500 0.750 0.500 Pd
0.000 0.749 0.500 Pt
0.500 0.249 0.500 Pt
```

Principal peaks in the range 2θ = 15–90°, by angle:
22.22 deg, rel. 18, (1 1 0)
34.88 deg, rel. 100, (2 0 0)
37.29 deg, rel. 85, (0 2 1)
37.84 deg, rel. 81, (2 2 -1)
49.28 deg, rel. 19, (0 0 2)
51.02 deg, rel. 17, (4 0 -2)
58.00 deg, rel. 12, (0 4 0)
63.76 deg, rel. 36, (2 2 -3)
64.88 deg, rel. 33, (4 2 -1)
69.50 deg, rel. 27, (2 4 0)

2.
Theoretical X-ray powder pattern of ZnHPdPt for Cu Kα X-rays, from a PBE-relaxed structure.

Cell and atoms:
```
ZnHPdPt
1.0
11.739 0.000 0.000
0.000 2.892 0.000
-0.690 0.000 2.808
Zn H Pd Pt
2 2 2 2
Direct
0.000 0.000 0.000 Zn
0.500 0.500 0.000 Zn
0.201 0.000 0.194 H
0.701 0.500 0.194 H
0.159 0.500 0.657 Pd
0.659 0.000 0.657 Pd
0.355 0.000 0.358 Pt
0.855 0.500 0.358 Pt
```

Principal peaks in the range 2θ = 15–90°, by angle:
15.55 deg, rel. 27, (2 0 0)
31.39 deg, rel. 20, (4 0 0)
31.91 deg, rel. 30, (0 0 1)
38.99 deg, rel. 50, (2 0 1)
39.15 deg, rel. 100, (3 1 0)
39.30 deg, rel. 50, (4 0 -1)
44.30 deg, rel. 76, (1 1 -1)
47.87 deg, rel. 23, (6 0 0)
64.44 deg, rel. 25, (0 2 0)
67.48 deg, rel. 17, (7 1 -1)

3.
Theoretical X-ray powder pattern of PuH4Pd5 for Cu Kα X-rays, from a PBE-relaxed structure.

Cell and atoms:
```
PuH4Pd5
1.0
5.844 0.000 0.000
0.000 8.372 0.000
0.000 0.000 4.825
Pu H Pd
2 8 10
Direct
0.250 0.250 0.225 Pu
0.750 0.750 0.775 Pu
0.062 0.750 0.453 H
0.250 0.530 0.902 H
0.250 0.970 0.902 H
0.438 0.750 0.453 H
0.562 0.250 0.547 H
0.750 0.030 0.098 H
0.750 0.470 0.098 H
0.938 0.250 0.547 H
0.003 0.579 0.247 Pd
0.003 0.921 0.247 Pd
0.250 0.750 0.771 Pd
0.497 0.579 0.247 Pd
0.497 0.921 0.247 Pd
0.503 0.079 0.753 Pd
0.503 0.421 0.753 Pd
0.750 0.250 0.229 Pd
0.997 0.079 0.753 Pd
0.997 0.421 0.753 Pd
```

Principal peaks in the range 2θ = 15–90°, by angle:
18.51 deg, rel. 8, (1 1 0)
21.25 deg, rel. 10, (0 1 1)
37.24 deg, rel. 97, (0 3 1)
37.55 deg, rel. 100, (2 2 0)
53.92 deg, rel. 34, (2 2 2)
63.69 deg, rel. 7, (4 0 0)
67.14 deg, rel. 16, (0 6 0)
67.35 deg, rel. 34, (2 5 1)
76.15 deg, rel. 24, (4 3 1)
79.33 deg, rel. 7, (0 6 2)

4.
Theoretical X-ray powder pattern of PuH4Pd for Cu Kα X-rays, from a PBE-relaxed structure.

Cell and atoms:
```
PuH4Pd
1.0
3.637 0.000 0.000
0.000 3.637 0.000
0.000 0.000 8.461
Pu H Pd
2 8 2
Direct
0.250 0.250 0.158 Pu
0.750 0.750 0.842 Pu
0.250 0.250 0.842 H
0.250 0.750 0.000 H
0.250 0.750 0.356 H
0.250 0.750 0.644 H
0.750 0.250 0.000 H
0.750 0.250 0.356 H
0.750 0.250 0.644 H
0.750 0.750 0.158 H
0.250 0.250 0.623 Pd
0.750 0.750 0.377 Pd
```

Principal peaks in the range 2θ = 15–90°, by angle:
26.68 deg, rel. 22, (1 0 1)
32.46 deg, rel. 100, (1 0 2)
34.89 deg, rel. 46, (1 1 0)
42.75 deg, rel. 8, (0 0 4)
47.87 deg, rel. 9, (1 1 3)
49.87 deg, rel. 8, (1 0 4)
50.17 deg, rel. 17, (2 0 0)
56.31 deg, rel. 14, (1 1 4)
61.03 deg, rel. 34, (2 1 2)
67.98 deg, rel. 8, (2 0 4)